(1)
For Dy2MgIn4, a GGA-PBE-relaxed structure gives the computed X-ray diffraction stick pattern in this record (CuKα).
Intensities are scaled so that the largest is 100.

Crystal structure
abc: 8.8262 9.3674 4.5148
angles: 90.00 90.00 90.00
Space group Cmmm (No. 65)
Asymmetric unit:
Dy  0.2280  0.0000  0.0000
Mg  0.0000  0.5000  0.5000
In  0.0000  0.2606  0.0000
In  0.2500  0.2500  0.5000

Principal peaks in the range 2θ = 10–80°, in order of rising 2θ:
19.7 deg, I = 13; 20.1 deg, I = 12; 27.4 deg, I = 12; 34.3 deg, I = 100; 38.4 deg, I = 18; 39.9 deg, I = 17; 40.9 deg, I = 14; 56.6 deg, I = 12; 66.9 deg, I = 14; 68.9 deg, I = 13

=====

(2)
For DyMg3In, a GGA-PBE-relaxed structure gives the computed X-ray diffraction stick pattern in this record (CuKα).
Intensities are scaled so that the largest is 100.

Crystal structure
abc: 5.0152 28.5149 3.6098
angles: 90.00 90.00 90.00
Space group Cmmm (No. 65)
Asymmetric unit:
Dy  0.0000  0.1657  0.0000
Mg  0.0000  0.0606  0.5000
Mg  0.0000  0.2716  0.5000
Mg  0.0000  0.4502  0.0000
In  0.0000  0.3702  0.5000

Principal peaks in the range 2θ = 10–80°, in order of rising 2θ:
12.4 deg, I = 79; 18.7 deg, I = 21; 23.6 deg, I = 19; 30.7 deg, I = 18; 31.1 deg, I = 18; 32.0 deg, I = 100; 33.5 deg, I = 32; 35.8 deg, I = 28; 37.8 deg, I = 31; 62.0 deg, I = 25

=====

(3)
For Dy5MgIn2, a GGA-PBE-relaxed structure gives the computed X-ray diffraction stick pattern in this record (CuKα).
Intensities are scaled so that the largest is 100.

Crystal structure
abc: 4.6802 11.1438 17.1939
angles: 90.00 90.00 90.00
Space group Cmcm (No. 63)
Asymmetric unit:
Dy  0.0000  0.0361  0.2500
Dy  0.0000  0.1554  0.0394
Dy  0.0000  0.4575  0.0984
Mg  0.0000  0.3174  0.2500
In  0.0000  0.2562  0.6539

Principal peaks in the range 2θ = 10–80°, in order of rising 2θ:
29.3 deg, I = 100; 31.2 deg, I = 71; 32.5 deg, I = 83; 33.3 deg, I = 88; 35.2 deg, I = 42; 35.8 deg, I = 41; 38.5 deg, I = 67; 53.1 deg, I = 26; 53.6 deg, I = 26; 59.4 deg, I = 41